TiV5Ge3: theoretical powder diffraction line list (λ = 1.5418 Å (Cu Kα)), based on a PBE-relaxed structure.
Peak positions follow from Bragg's law for the DFT cell and can differ from measured ones.

Cell and atoms:
a b c (Å): 6.784 6.784 11.622
angles (deg): 90.00 90.00 90.00
Space group I4/mcm (No. 140)
Inequivalent atoms, fractional coordinates:
Ti (0.000, 0.500, 0.250) [4 per cell]
V (0.000, 0.000, 0.000) [4 per cell]
V (0.216, 0.284, 0.144) [16 per cell]
Ge (0.000, 0.000, 0.250) [4 per cell]
Ge (0.117, 0.383, 0.500) [8 per cell]

Main lines, by angle (2θ from 5° to 70°):
24.06 deg, I 10.6
37.50 deg, I 61.2
37.66 deg, I 63.4
40.70 deg, I 10.1
40.90 deg, I 100.0
42.12 deg, I 21.9
49.05 deg, I 25.0
49.39 deg, I 12.8
53.06 deg, I 11.6
54.56 deg, I 10.3
56.52 deg, I 26.8
69.96 deg, I 20.6